Entry 1:
Starting from a DFT-relaxed cell (GGA-PBE, OQMD), the XRD peak list of SmGd2TmGa2 was calculated for Cu Kα (λ = 1.5418 Å).

Cell and atoms:
```
data_SmGd2TmGa2
_cell_length_a 5.1874
_cell_length_b 5.1874
_cell_length_c 6.6620
_cell_angle_alpha 90.00
_cell_angle_beta 90.00
_cell_angle_gamma 120.00
_symmetry_space_group_name_H-M 'P -6 m 2'
_symmetry_Int_Tables_number 187
_symmetry_space_group_name_Hall 'P -6 2'
loop_
_atom_site_label
_atom_site_fract_x
_atom_site_fract_y
_atom_site_fract_z
Sm1 0.0000 0.0000 0.0000
Gd1 0.6667 0.3333 0.2559
Tm1 0.3333 0.6667 0.5000
Ga1 0.0000 0.0000 0.5000
Ga2 0.3333 0.6667 0.0000
```

Largest 6 diffraction maxima, by angle, 2θ = 15–90°:
2theta, d_spacing, I/Imax
23.89, 3.725, 17
33.49, 2.676, 100
34.58, 2.594, 94
48.91, 1.862, 35
61.28, 1.513, 35
66.75, 1.401, 27

=====

Entry 2:
Starting from a DFT-relaxed cell (GGA-PBE, OQMD), the XRD peak list of BaTmHgCl2O2 was calculated for Cu Kα (λ = 1.5418 Å).

Cell and atoms:
```
data_BaTmHgCl2O2
_cell_length_a 12.7434
_cell_length_b 3.6861
_cell_length_c 8.3885
_cell_angle_alpha 90.00
_cell_angle_beta 124.11
_cell_angle_gamma 90.00
_symmetry_space_group_name_H-M 'C 1 m 1'
_symmetry_Int_Tables_number 8
_symmetry_space_group_name_Hall 'C -2y'
loop_
_atom_site_label
_atom_site_fract_x
_atom_site_fract_y
_atom_site_fract_z
Ba1 0.0000 0.0000 0.0000
Tm1 0.1608 0.5000 0.4769
Hg1 0.3360 0.5000 0.2434
Cl1 0.2393 0.0000 0.8435
Cl2 0.3738 0.0000 0.6094
O1 0.0571 0.0000 0.3840
O2 0.1427 0.5000 0.2139
```

Largest 6 diffraction maxima, by angle, 2θ = 15–90°:
2theta, d_spacing, I/Imax
21.33, 4.166, 32
25.60, 3.480, 48
28.68, 3.112, 54
30.80, 2.903, 100
32.36, 2.766, 50
34.21, 2.621, 76

=====

Entry 3:
Starting from a DFT-relaxed cell (GGA-PBE, OQMD), the XRD peak list of Zr2SiGePd2 was calculated for Cu Kα (λ = 1.5418 Å).

Cell and atoms:
```
data_Zr2SiGePd2
_cell_length_a 10.6366
_cell_length_b 4.3420
_cell_length_c 10.6373
_cell_angle_alpha 90.00
_cell_angle_beta 109.47
_cell_angle_gamma 90.00
_symmetry_space_group_name_H-M 'P 1 m 1'
_symmetry_Int_Tables_number 6
_symmetry_space_group_name_Hall 'P -2y'
loop_
_atom_site_label
_atom_site_fract_x
_atom_site_fract_y
_atom_site_fract_z
Zr1 0.0000 0.0000 0.0000
Zr2 0.1222 0.5000 0.3748
Zr3 0.2468 0.0000 0.7483
Zr4 0.3751 0.5000 0.1271
Zr5 0.4988 0.0000 0.5009
Zr6 0.6239 0.5000 0.8733
Zr7 0.7486 0.0000 0.2507
Zr8 0.8730 0.5000 0.6245
Si1 0.2488 0.0000 0.2503
Si2 0.6237 0.5000 0.3753
Si3 0.7487 0.0000 0.7497
Si4 0.9981 0.0000 0.4997
Ge1 0.1234 0.5000 0.8751
Ge2 0.3734 0.5000 0.6244
Ge3 0.4988 0.0000 0.0004
Ge4 0.8737 0.5000 0.1251
Pd1 0.1273 0.5000 0.1285
Pd2 0.2450 0.0000 0.4963
Pd3 0.3733 0.5000 0.8749
Pd4 0.4992 0.0000 0.2542
Pd5 0.6265 0.5000 0.6244
Pd6 0.7491 0.0000 0.9965
Pd7 0.8728 0.5000 0.3778
Pd8 0.9951 0.0000 0.7466
```

Largest 6 diffraction maxima, by angle, 2θ = 15–90°:
2theta, d_spacing, I/Imax
25.12, 3.546, 55
41.60, 2.171, 100
49.21, 1.852, 25
60.28, 1.535, 16
66.35, 1.409, 10
75.90, 1.254, 32

=====

Entry 4:
Starting from a DFT-relaxed cell (GGA-PBE, OQMD), the XRD peak list of Zr2Pa was calculated for Cu Kα (λ = 1.5418 Å).

Cell and atoms:
```
data_Zr2Pa
_cell_length_a 5.4109
_cell_length_b 9.7561
_cell_length_c 5.3486
_cell_angle_alpha 90.00
_cell_angle_beta 90.00
_cell_angle_gamma 90.00
_symmetry_space_group_name_H-M 'P m m n'
_symmetry_Int_Tables_number 59
loop_
_symmetry_equiv_pos_as_xyz
'x,y,z'
'-x,-y,-z'
'-x+1/2,-y+1/2,z'
'x+1/2,y+1/2,-z'
'x+1/2,-y,-z'
'-x+1/2,y,z'
'-x,y+1/2,-z'
'x,-y+1/2,z'
loop_
_atom_site_label
_atom_site_fract_x
_atom_site_fract_y
_atom_site_fract_z
Zr1 0.2500 0.0803 0.0051
Zr2 0.2500 0.2500 0.5049
Zr3 0.2500 0.7500 0.0073
Pa1 0.2500 0.5814 0.5059
```

Largest 6 diffraction maxima, by angle, 2θ = 15–90°:
2theta, d_spacing, I/Imax
33.11, 2.705, 32
33.51, 2.674, 31
36.35, 2.472, 100
47.82, 1.902, 23
61.27, 1.513, 23
61.77, 1.502, 22

=====

Entry 5:
Starting from a DFT-relaxed cell (GGA-PBE, OQMD), the XRD peak list of Ni9BiTeS8 was calculated for Cu Kα (λ = 1.5418 Å).

Cell and atoms:
```
data_Ni9BiTeS8
_cell_length_a 7.3123
_cell_length_b 7.3123
_cell_length_c 5.3806
_cell_angle_alpha 90.00
_cell_angle_beta 90.00
_cell_angle_gamma 90.00
_symmetry_space_group_name_H-M 'P 4/m m m'
_symmetry_Int_Tables_number 123
_symmetry_space_group_name_Hall '-P 4 2'
loop_
_atom_site_label
_atom_site_fract_x
_atom_site_fract_y
_atom_site_fract_z
Ni1 0.0000 0.0000 0.0000
Ni2 0.1804 0.5000 0.2498
Bi1 0.0000 0.0000 0.5000
Te1 0.5000 0.5000 0.0000
S1 0.0000 0.3148 0.0000
S2 0.2710 0.2710 0.5000
```

Largest 6 diffraction maxima, by angle, 2θ = 15–90°:
2theta, d_spacing, I/Imax
27.27, 3.270, 83
32.03, 2.795, 100
37.69, 2.387, 83
38.95, 2.312, 75
48.86, 1.864, 70
50.53, 1.806, 74

=====

Entry 6:
Starting from a DFT-relaxed cell (GGA-PBE, OQMD), the XRD peak list of Co2BiOs4 was calculated for Cu Kα (λ = 1.5418 Å).

Cell and atoms:
```
data_Co2BiOs4
_cell_length_a 6.3376
_cell_length_b 6.3376
_cell_length_c 2.7755
_cell_angle_alpha 90.00
_cell_angle_beta 90.00
_cell_angle_gamma 90.00
_symmetry_space_group_name_H-M 'P -4 2 m'
_symmetry_Int_Tables_number 111
_symmetry_space_group_name_Hall 'P -4 2'
loop_
_atom_site_label
_atom_site_fract_x
_atom_site_fract_y
_atom_site_fract_z
Co1 0.0000 0.5000 0.0000
Bi1 0.0000 0.0000 0.0000
Os1 0.3219 0.3219 0.2507
```

Largest 6 diffraction maxima, by angle, 2θ = 15–90°:
2theta, d_spacing, I/Imax
31.57, 2.834, 71
38.14, 2.360, 96
40.25, 2.241, 43
42.81, 2.113, 83
45.75, 1.983, 100
69.96, 1.345, 42

=====

Entry 7:
Starting from a DFT-relaxed cell (GGA-PBE, OQMD), the XRD peak list of Nd2DyAl3Ni3 was calculated for Cu Kα (λ = 1.5418 Å).

Cell and atoms:
```
data_Nd2DyAl3Ni3
_cell_length_a 4.0528
_cell_length_b 12.2043
_cell_length_c 6.9626
_cell_angle_alpha 90.00
_cell_angle_beta 90.00
_cell_angle_gamma 90.00
_symmetry_space_group_name_H-M 'A m m 2'
_symmetry_Int_Tables_number 38
_symmetry_space_group_name_Hall 'A 2 -2'
loop_
_atom_site_label
_atom_site_fract_x
_atom_site_fract_y
_atom_site_fract_z
Nd1 0.0000 0.2090 0.0000
Dy1 0.0000 0.0000 0.6263
Al1 0.5000 0.0000 0.9781
Al2 0.5000 0.1132 0.3290
Ni1 0.0000 0.0000 0.2163
Ni2 0.5000 0.1608 0.7074
```

Largest 6 diffraction maxima, by angle, 2θ = 15–90°:
2theta, d_spacing, I/Imax
21.93, 4.053, 41
33.77, 2.654, 100
33.95, 2.641, 45
36.87, 2.438, 56
37.10, 2.424, 96
44.72, 2.026, 37

=====

Entry 8:
Starting from a DFT-relaxed cell (GGA-PBE, OQMD), the XRD peak list of TbHoAg2As4 was calculated for Cu Kα (λ = 1.5418 Å).

Cell and atoms:
```
data_TbHoAg2As4
_cell_length_a 3.9934
_cell_length_b 3.9934
_cell_length_c 10.2929
_cell_angle_alpha 90.00
_cell_angle_beta 90.00
_cell_angle_gamma 90.00
_symmetry_space_group_name_H-M 'P 4 m m'
_symmetry_Int_Tables_number 99
_symmetry_space_group_name_Hall 'P 4 -2'
loop_
_atom_site_label
_atom_site_fract_x
_atom_site_fract_y
_atom_site_fract_z
Tb1 0.0000 0.0000 0.0000
Ho1 0.5000 0.5000 0.4510
Ag1 0.0000 0.5000 0.7244
As1 0.0000 0.0000 0.5349
As2 0.0000 0.5000 0.2268
As3 0.5000 0.5000 0.9137
```

Largest 6 diffraction maxima, by angle, 2θ = 15–90°:
2theta, d_spacing, I/Imax
34.87, 2.573, 18
36.29, 2.476, 100
45.42, 1.997, 30
58.52, 1.577, 22
63.42, 1.467, 14
77.89, 1.226, 21

=====

Entry 9:
Starting from a DFT-relaxed cell (GGA-PBE, OQMD), the XRD peak list of Mo4PPbN2 was calculated for Cu Kα (λ = 1.5418 Å).

Cell and atoms:
```
data_Mo4PPbN2
_cell_length_a 3.3267
_cell_length_b 3.3267
_cell_length_c 12.1565
_cell_angle_alpha 90.00
_cell_angle_beta 90.00
_cell_angle_gamma 120.00
_symmetry_space_group_name_H-M 'P -6 m 2'
_symmetry_Int_Tables_number 187
_symmetry_space_group_name_Hall 'P -6 2'
loop_
_atom_site_label
_atom_site_fract_x
_atom_site_fract_y
_atom_site_fract_z
Mo1 0.0000 0.0000 0.1277
Mo2 0.3333 0.6667 0.2954
P1 0.3333 0.6667 0.0000
Pb1 0.0000 0.0000 0.5000
N1 0.6667 0.3333 0.2517
```

Largest 6 diffraction maxima, by angle, 2θ = 15–90°:
2theta, d_spacing, I/Imax
31.04, 2.881, 42
34.45, 2.603, 53
36.97, 2.431, 21
38.33, 2.348, 100
55.22, 1.663, 33
68.33, 1.373, 21

=====

Entry 10:
Starting from a DFT-relaxed cell (GGA-PBE, OQMD), the XRD peak list of HfNbFe2 was calculated for Cu Kα (λ = 1.5418 Å).

Cell and atoms:
```
data_HfNbFe2
_cell_length_a 6.2117
_cell_length_b 6.2117
_cell_length_c 6.2117
_cell_angle_alpha 90.00
_cell_angle_beta 90.00
_cell_angle_gamma 90.00
_symmetry_space_group_name_H-M 'F -4 3 m'
_symmetry_Int_Tables_number 216
_symmetry_space_group_name_Hall 'F -4 2 3'
loop_
_atom_site_label
_atom_site_fract_x
_atom_site_fract_y
_atom_site_fract_z
Hf1 0.0000 0.0000 0.0000
Nb1 0.2500 0.2500 0.7500
Fe1 0.0000 0.0000 0.5000
Fe2 0.2500 0.2500 0.2500
```

Largest 6 diffraction maxima, by angle, 2θ = 15–90°:
2theta, d_spacing, I/Imax
24.83, 3.586, 24
41.10, 2.196, 100
48.61, 1.873, 13
59.53, 1.553, 16
74.89, 1.268, 32
89.18, 1.098, 11

=====

Entry 11:
Starting from a DFT-relaxed cell (GGA-PBE, OQMD), the XRD peak list of Pr4CBrCl4 was calculated for Cu Kα (λ = 1.5418 Å).

Cell and atoms:
```
data_Pr4CBrCl4
_cell_length_a 17.9252
_cell_length_b 3.9663
_cell_length_c 8.4493
_cell_angle_alpha 90.00
_cell_angle_beta 105.37
_cell_angle_gamma 90.00
_symmetry_space_group_name_H-M 'C 1 2/m 1'
_symmetry_Int_Tables_number 12
_symmetry_space_group_name_Hall '-C 2y'
loop_
_atom_site_label
_atom_site_fract_x
_atom_site_fract_y
_atom_site_fract_z
Pr1 0.0011 0.0000 0.2931
Pr2 0.1465 0.5000 0.5875
C1 0.0000 0.5000 0.5000
Br1 0.0000 0.5000 0.0000
Cl1 0.1647 0.0000 0.8362
Cl2 0.1703 0.0000 0.3540
```

Largest 6 diffraction maxima, by angle, 2θ = 15–90°:
2theta, d_spacing, I/Imax
27.30, 3.267, 17
30.94, 2.890, 100
31.05, 2.881, 35
33.99, 2.638, 20
43.90, 2.062, 23
44.88, 2.020, 23

=====

Entry 12:
Starting from a DFT-relaxed cell (GGA-PBE, OQMD), the XRD peak list of BeGaAg was calculated for Cu Kα (λ = 1.5418 Å).

Cell and atoms:
```
data_BeGaAg
_cell_length_a 5.8619
_cell_length_b 5.8619
_cell_length_c 5.8619
_cell_angle_alpha 90.00
_cell_angle_beta 90.00
_cell_angle_gamma 90.00
_symmetry_space_group_name_H-M 'F -4 3 m'
_symmetry_Int_Tables_number 216
_symmetry_space_group_name_Hall 'F -4 2 3'
loop_
_atom_site_label
_atom_site_fract_x
_atom_site_fract_y
_atom_site_fract_z
Be1 0.0000 0.0000 0.0000
Ga1 0.0000 0.0000 0.5000
Ag1 0.2500 0.2500 0.2500
```

Largest 6 diffraction maxima, by angle, 2θ = 15–90°:
2theta, d_spacing, I/Imax
26.33, 3.384, 100
43.68, 2.072, 81
51.72, 1.767, 45
69.96, 1.345, 17
80.22, 1.197, 25
86.21, 1.128, 13

=====

Entry 13:
Starting from a DFT-relaxed cell (GGA-PBE, OQMD), the XRD peak list of RbCd4As2P was calculated for Cu Kα (λ = 1.5418 Å).

Cell and atoms:
```
data_RbCd4As2P
_cell_length_a 4.5040
_cell_length_b 4.5040
_cell_length_c 36.9035
_cell_angle_alpha 90.00
_cell_angle_beta 90.00
_cell_angle_gamma 120.00
_symmetry_space_group_name_H-M 'R -3 m'
_symmetry_Int_Tables_number 166
_symmetry_space_group_name_Hall '-R 3 2"'
loop_
_atom_site_label
_atom_site_fract_x
_atom_site_fract_y
_atom_site_fract_z
Rb1 0.0000 0.0000 0.0000
Cd1 0.0000 0.0000 0.1959
Cd2 0.0000 0.0000 0.4153
As1 0.0000 0.0000 0.2686
P1 0.0000 0.0000 0.5000
```

Largest 6 diffraction maxima, by angle, 2θ = 15–90°:
2theta, d_spacing, I/Imax
24.78, 3.593, 23
25.83, 3.449, 98
33.43, 2.681, 52
39.25, 2.295, 50
40.04, 2.252, 100
55.30, 1.661, 29

=====

Entry 14:
Starting from a DFT-relaxed cell (GGA-PBE, OQMD), the XRD peak list of Ho4CoBr5 was calculated for Cu Kα (λ = 1.5418 Å).

Cell and atoms:
```
data_Ho4CoBr5
_cell_length_a 18.6213
_cell_length_b 3.8707
_cell_length_c 8.3798
_cell_angle_alpha 90.00
_cell_angle_beta 102.63
_cell_angle_gamma 90.00
_symmetry_space_group_name_H-M 'C 1 2/m 1'
_symmetry_Int_Tables_number 12
_symmetry_space_group_name_Hall '-C 2y'
loop_
_atom_site_label
_atom_site_fract_x
_atom_site_fract_y
_atom_site_fract_z
Ho1 0.0010 0.0000 0.2073
Ho2 0.1442 0.5000 0.0760
Co1 0.0000 0.5000 0.0000
Br1 0.0000 0.5000 0.5000
Br2 0.1679 0.0000 0.3361
Br3 0.1778 0.0000 0.8405
```

Largest 6 diffraction maxima, by angle, 2θ = 15–90°:
2theta, d_spacing, I/Imax
29.49, 3.028, 51
31.47, 2.843, 100
33.84, 2.649, 21
43.57, 2.077, 33
43.77, 2.068, 30
46.95, 1.935, 18